# 1
Structure and calculated XRD peak list of LiAg4Cl6 (DFT lattice parameters and positions (GGA-PBE); copper Kα).
No peak broadening, texture or thermal motion is included.

Main lines, most intense first (5 to 70 degrees two-theta):
24.64°, I 1000
28.13°, I 583
24.08°, I 292
26.16°, I 288
24.24°, I 285
18.28°, I 249

Structural model:
```
22
Lattice="6.3681 -3.8120 0.0000 6.3681 3.8120 0.0000 -5.3408 0.0000 11.4469" Properties=species:S:1:pos:R:3 pbc="T T T"
Li 3.6977 2.1205 5.7235
Li 6.3681 -2.1205 0.0000
Ag 1.3164 2.7669 8.0475
Ag 2.3479 0.9247 3.1909
Ag 6.1882 1.7863 0.7248
Ag -0.3225 -0.9247 8.9144
Ag 6.9081 0.4273 4.6029
Ag 3.5178 -1.7863 6.4483
Ag 3.9868 -2.7669 2.3241
Ag 4.2377 -0.4273 10.3264
Cl 1.6154 3.5299 10.4163
Cl 1.3061 1.9414 5.6500
Cl 3.6958 2.0839 1.2322
Cl 3.8519 2.2317 8.0258
Cl 4.2673 0.1380 4.6199
Cl 7.8810 1.7611 2.6746
Cl 1.5969 -0.1380 10.3434
Cl -1.3643 -1.9414 11.3735
Cl 1.0254 -2.0839 6.9557
Cl 6.5223 -2.2317 2.3023
Cl 5.2106 -1.7611 8.3981
Cl 4.2859 -3.5299 4.6929
```

# 2
Structure and calculated XRD peak list of Tl3PbSe4 (DFT lattice parameters and positions (GGA-PBE); copper Kα).
No peak broadening, texture or thermal motion is included.

Main lines, most intense first (5 to 70 degrees two-theta):
28.75°, I 1000
29.26°, I 957
29.38°, I 946
41.28°, I 752
41.76°, I 734
25.22°, I 505

Structural model:
```
8
Lattice="4.3185 0.0000 0.0000 -0.0747 7.4661 0.0000 -0.1108 -2.4312 7.1490" Properties=species:S:1:pos:R:3 pbc="T T T"
Tl 0.0000 0.0000 0.0000
Tl -0.0928 2.5175 3.5745
Tl 2.1039 -1.2156 3.5745
Pb 2.1219 3.7331 0.0000
Se -0.0664 5.0337 1.7099
Se 2.1124 1.2081 1.6776
Se 2.0206 3.8269 5.4714
Se 4.1995 0.0013 5.4391
```

# 3
Structure and calculated XRD peak list of NaEuCd (DFT lattice parameters and positions (GGA-PBE); copper Kα).
No peak broadening, texture or thermal motion is included.

Main lines, most intense first (5 to 70 degrees two-theta):
31.90°, I 1000
31.32°, I 543
56.11°, I 388
23.30°, I 320
15.15°, I 277
44.88°, I 198

Structural model:
```
3
Lattice="-2.0196 2.0196 5.8486 2.0196 -2.0196 5.8486 2.0196 2.0196 -5.8486" Properties=species:S:1:pos:R:3 pbc="T T T"
Na 0.0000 0.0000 0.0000
Eu 0.0000 0.0000 8.2188
Cd 0.0000 0.0000 4.2213
```

# 4
Structure and calculated XRD peak list of Th2MgPb2 (DFT lattice parameters and positions (GGA-PBE); copper Kα).
No peak broadening, texture or thermal motion is included.

Main lines, most intense first (5 to 70 degrees two-theta):
29.38°, I 1000
30.25°, I 993
35.59°, I 456
39.12°, I 390
32.75°, I 331
29.47°, I 325

Structural model:
```
10
Lattice="6.1049 -2.3028 0.0000 6.1049 2.3028 0.0000 -5.3572 0.0000 10.3955" Properties=species:S:1:pos:R:3 pbc="T T T"
Th -0.7715 0.0000 1.8111
Th -0.9843 0.0000 6.3267
Th 7.8370 0.0000 4.0688
Th 7.6242 0.0000 8.5844
Mg 2.6983 0.0000 1.7469
Mg 4.1544 0.0000 8.6486
Pb -0.7303 0.0000 9.7451
Pb 2.3153 0.0000 6.3850
Pb 4.5374 0.0000 4.0105
Pb 7.5830 0.0000 0.6504
```